Structure and computed powder diffractogram of Li2CrFeO4 (a GGA+U-relaxed structure; a wavelength of 1.5418 Å).

Cell and atoms:
abc: 9.7822 9.7822 5.0582
angles: 94.92 94.92 17.23
Sites, in units of the cell vectors:
1 Li 0.0000 0.0000 0.0000
2 Li 0.2484 0.2484 0.7526
3 Li 0.5000 0.5000 0.5000
4 Li 0.7516 0.7516 0.2474
5 Cr 0.1252 0.1252 0.3749
6 Cr 0.8748 0.8748 0.6251
7 Fe 0.3752 0.3752 0.1252
8 Fe 0.6248 0.6248 0.8748
9 O 0.0693 0.0693 0.6939
10 O 0.1804 0.1804 0.0546
11 O 0.3186 0.3186 0.4349
12 O 0.4312 0.4312 0.8139
13 O 0.5688 0.5688 0.1861
14 O 0.6814 0.6814 0.5651
15 O 0.8196 0.8196 0.9454
16 O 0.9307 0.9307 0.3061

Largest 12 diffraction maxima, in order of rising 2θ, 2θ from 15° to 90°:
2θ 18.4, I = 100
2θ 36.0, I = 26
2θ 36.1, I = 13
2θ 37.6, I = 12
2θ 43.6, I = 51
2θ 43.7, I = 26
2θ 47.7, I = 12
2θ 57.6, I = 14
2θ 63.2, I = 20
2θ 63.5, I = 7
2θ 63.7, I = 14
2θ 66.9, I = 9